1.
Starting from the PBE geometry in Alexandria, the powder diffraction line list of Li3PuCl6 was calculated for Cu Kα X-rays.
Intensities are scaled so that the largest is 100.

Top 6 peaks for 2θ = 10–80°, sorted by position:
2θ/deg, Rel. int., index
12.5, 100, 1 1 0
13.7, 30, 0 2 0
20.5, 25, 0 0 1
24.7, 24, 0 2 1
31.1, 39, 1 3 1
40.8, 35, 2 4 1

Structure:
abc: 8.462 12.947 4.338
angles: 90.00 90.00 90.00
Space group Cmmm (No. 65)
Asymmetric unit:
Li1 0.000 0.000 0.000 [2 per cell]
Li2 0.250 0.250 0.500 [4 per cell]
Pu1 0.000 0.500 0.000 [2 per cell]
Cl1 0.000 0.360 0.500 [4 per cell]
Cl2 0.210 0.124 0.000 [8 per cell]


2.
Starting from the PBE geometry in Alexandria, the powder diffraction line list of Li3PuCl7 was calculated for Cu Kα X-rays.
Intensities are scaled so that the largest is 100.

Top 6 peaks for 2θ = 10–80°, sorted by position:
2θ/deg, Rel. int., index
13.6, 56, 0 0 1
14.0, 46, 2 0 -1
14.9, 100, 1 1 0
15.8, 62, 1 1 -1
20.8, 39, 2 0 -2
30.1, 50, 2 2 0

Structure:
abc: 12.818 7.457 8.529
angles: 90.00 130.08 90.00
Space group Cm (No. 8)
Asymmetric unit:
Li1 0.000 0.000 0.000 [2 per cell]
Li2 0.436 0.232 0.310 [4 per cell]
Pu1 0.004 0.500 0.899 [2 per cell]
Cl1 0.014 0.000 0.290 [2 per cell]
Cl2 0.030 0.500 0.231 [2 per cell]
Cl3 0.183 0.239 0.064 [4 per cell]
Cl4 0.332 0.256 0.760 [4 per cell]
Cl5 0.474 0.000 0.561 [2 per cell]